Record 1
For Pr3Si4Ir2Pd2, the PBE geometry in OQMD gives the calculated PXRD pattern in this record (Cu Ka).
Kinematic intensities with the Lorentz-polarization factor, no thermal factor.

Structural model:
```
data_Pr3Si4Ir2Pd2
_cell_length_a 4.1329
_cell_length_b 4.1992
_cell_length_c 24.9637
_cell_angle_alpha 90.00
_cell_angle_beta 90.00
_cell_angle_gamma 90.00
_symmetry_space_group_name_H-M 'I m m m'
_symmetry_Int_Tables_number 71
_symmetry_space_group_name_Hall '-I 2 2'
loop_
_atom_site_label
_atom_site_type_symbol
_atom_site_fract_x
_atom_site_fract_y
_atom_site_fract_z
Pr1 Pr 0.0000 0.0000 0.0000
Pr2 Pr 0.0000 0.5000 0.1469
Si1 Si 0.0000 0.0000 0.4523
Si2 Si 0.0000 0.5000 0.3013
Ir1 Ir 0.0000 0.0000 0.2495
Pd1 Pd 0.0000 0.5000 0.4008
```

Top 6 peaks for 5° ≤ 2θ ≤ 70°, sorted by position:
2θ = 7.08°, intensity 54.5, (0 0 2); 2θ = 28.61°, intensity 16.3, (0 0 8); 2θ = 33.18°, intensity 18.6, (1 0 7); 2θ = 33.65°, intensity 100.0, (1 1 4); 2θ = 43.08°, intensity 18.4, (0 2 0); 2θ = 43.80°, intensity 19.2, (2 0 0)

***

Record 2
For Lu3NiN2, the PBE geometry in OQMD gives the calculated PXRD pattern in this record (Cu Ka).
Kinematic intensities with the Lorentz-polarization factor, no thermal factor.

Structural model:
```
data_Lu3NiN2
_cell_length_a 3.3625
_cell_length_b 3.3625
_cell_length_c 18.6363
_cell_angle_alpha 90.00
_cell_angle_beta 90.00
_cell_angle_gamma 120.00
_symmetry_space_group_name_H-M 'P 63/m m c'
_symmetry_Int_Tables_number 194
_symmetry_space_group_name_Hall '-P 6c 2c'
loop_
_atom_site_label
_atom_site_type_symbol
_atom_site_fract_x
_atom_site_fract_y
_atom_site_fract_z
Lu1 Lu 0.0000 0.0000 0.0000
Lu2 Lu 0.3333 0.6667 0.1449
Ni1 Ni 0.0000 0.0000 0.2500
N1 N 0.3333 0.6667 0.5741
```

Top 6 peaks for 5° ≤ 2θ ≤ 70°, sorted by position:
2θ = 28.74°, intensity 19.8, (0 0 6); 2θ = 31.08°, intensity 49.7, (1 0 1); 2θ = 36.38°, intensity 100.0, (1 0 4); 2θ = 39.26°, intensity 51.0, (1 0 5); 2θ = 54.37°, intensity 18.4, (1 0 9); 2θ = 54.59°, intensity 36.9, (1 1 0)

***

Record 3
For NbIBr2O, the PBE geometry in OQMD gives the calculated PXRD pattern in this record (Cu Ka).
Kinematic intensities with the Lorentz-polarization factor, no thermal factor.

Structural model:
```
data_NbIBr2O
_cell_length_a 14.6298
_cell_length_b 3.9639
_cell_length_c 12.2537
_cell_angle_alpha 90.00
_cell_angle_beta 121.35
_cell_angle_gamma 90.00
_symmetry_space_group_name_H-M 'C 1 2 1'
_symmetry_Int_Tables_number 5
loop_
_symmetry_equiv_pos_as_xyz
'x,y,z'
'-x,y,-z'
'x+1/2,y+1/2,z'
'-x+1/2,y+1/2,-z'
loop_
_atom_site_label
_atom_site_type_symbol
_atom_site_fract_x
_atom_site_fract_y
_atom_site_fract_z
Nb1 Nb 0.1208 0.0000 0.1940
I1 I 0.1688 0.5507 0.7107
Br1 Br 0.0948 0.0573 0.9571
Br2 Br 0.1072 0.0509 0.3852
O1 O 0.1142 0.5413 0.1828
```

Top 6 peaks for 5° ≤ 2θ ≤ 70°, sorted by position:
2θ = 23.75°, intensity 100.0, (1 1 -1); 2θ = 28.58°, intensity 55.7, (4 0 0); 2θ = 29.36°, intensity 60.5, (2 0 -4); 2θ = 29.64°, intensity 32.7, (3 1 -2); 2θ = 42.78°, intensity 33.2, (5 1 0); 2θ = 43.42°, intensity 40.1, (3 1 -5)